Structure and simulated X-ray powder pattern of NaMnH3C3O6 (a GGA+U-relaxed structure; Cu Ka).
Intensities are scaled so that the largest is 100.

Main lines, in order of falling intensity (2θ from 10° to 90°):
- (1 1 0), d = 6.593 Å, 2θ = 13.4°, I 100
- (3 0 1), d = 2.949 Å, 2θ = 30.3°, I 33
- (4 1 1), d = 2.198 Å, 2θ = 41.1°, I 22
- (3 1 2), d = 2.492 Å, 2θ = 36.0°, I 19
- (2 1 0), d = 4.170 Å, 2θ = 21.3°, I 12
- (2 0 0), d = 4.662 Å, 2θ = 19.0°, I 10

Structural model:
```
data_NaMnH3C3O6
_chemical_formula_sum 'Na4 Mn4 H12 C12 O24'
_space_group_name_H-M_alt 'P 21 3'
_space_group_IT_number 198
_space_group_name_Hall 'P 2ac 2ab 3'
_cell_length_a 9.324
_cell_length_b 9.324
_cell_length_c 9.324
_cell_angle_alpha 90.00
_cell_angle_beta 90.00
_cell_angle_gamma 90.00
loop_
_atom_site_label
_atom_site_type_symbol
_atom_site_fract_x
_atom_site_fract_y
_atom_site_fract_z
Na1 Na 0.182 0.182 0.182
Mn1 Mn 0.140 0.860 0.360
H1 H 0.027 0.218 0.746
C1 C 0.030 0.243 0.863
O1 O 0.071 0.646 0.282
O2 O 0.082 0.416 0.207
```

Structure and simulated X-ray powder pattern of Rb2Mo2H4C4O15 (a GGA+U-relaxed structure; Cu Ka).
Intensities are scaled so that the largest is 100.

Main lines, in order of falling intensity (2θ from 10° to 90°):
- (2 2 1), d = 3.009 Å, 2θ = 29.7°, I 100
- (1 1 -1), d = 5.094 Å, 2θ = 17.4°, I 100
- (1 0 0), d = 7.836 Å, 2θ = 11.3°, I 85
- (1 2 1), d = 4.127 Å, 2θ = 21.5°, I 83
- (1 2 -1), d = 4.347 Å, 2θ = 20.4°, I 78
- (0 4 0), d = 3.609 Å, 2θ = 24.7°, I 69

Structural model:
```
data_Rb2Mo2H4C4O15
_chemical_formula_sum 'Rb4 Mo4 H8 C8 O30'
_space_group_name_H-M_alt 'P 1 21/c 1'
_space_group_IT_number 14
_cell_length_a 7.861
_cell_length_b 14.442
_cell_length_c 7.032
_cell_angle_alpha 90.00
_cell_angle_beta 94.57
_cell_angle_gamma 90.00
loop_
_space_group_symop_operation_xyz
'x,y,z'
'-x,-y,-z'
'-x,y+1/2,-z+1/2'
'x,-y+1/2,z+1/2'
loop_
_atom_site_label
_atom_site_type_symbol
_atom_site_fract_x
_atom_site_fract_y
_atom_site_fract_z
Rb1 Rb 0.191 0.136 0.379
Mo1 Mo 0.107 0.608 0.613
H1 H 0.260 0.677 0.273
H2 H 0.295 0.566 0.276
C1 C 0.457 0.676 0.750
C2 C 0.478 0.569 0.738
O1 O 0.000 0.000 0.000
O2 O 0.026 0.197 0.973
O3 O 0.058 0.592 0.847
O4 O 0.221 0.617 0.322
O5 O 0.304 0.705 0.690
O6 O 0.343 0.527 0.665
O7 O 0.385 0.033 0.702
O8 O 0.425 0.227 0.690
```